Structure and calculated powder X-ray diffraction pattern of SmYTlPd2 (a DFT-relaxed cell (PBE, OQMD); λ = 1.5418 Å (Cu Kα)).
Lines closer than 0.1° are merged.

Principal peaks in the range 15 to 90 degrees two-theta, sorted by position:
32.87°, rel. 100; 33.86°, rel. 49; 36.73°, rel. 53; 43.44°, rel. 34; 44.35°, rel. 20; 49.12°, rel. 18; 56.20°, rel. 23; 62.88°, rel. 22

Structure:
```
10
Lattice="3.709 0.000 0.000 0.000 4.165 0.000 0.000 0.000 15.118" Properties=species:S:1:pos:R:3 pbc="T T T"
Sm 0.000 0.000 0.000
Sm 0.000 2.083 7.559
Y 0.000 0.000 4.043
Y 0.000 2.083 11.602
Tl 1.855 0.000 9.594
Tl 1.855 2.083 2.035
Pd 1.855 0.000 6.679
Pd 1.855 0.000 12.457
Pd 1.855 2.083 4.898
Pd 1.855 2.083 14.238
```



Structure and calculated powder X-ray diffraction pattern of SnPd3 (a DFT-relaxed cell (PBE, OQMD); λ = 1.5418 Å (Cu Kα)).
Lines closer than 0.1° are merged.

Principal peaks in the range 15 to 90 degrees two-theta, sorted by position:
38.04°, rel. 52; 39.04°, rel. 100; 39.16°, rel. 32; 40.30°, rel. 38; 43.51°, rel. 41; 45.43°, rel. 64; 66.16°, rel. 38; 79.59°, rel. 37

Structure:
```
24
Lattice="5.653 0.000 0.000 -2.827 4.896 0.000 0.000 0.000 27.606" Properties=species:S:1:pos:R:3 pbc="T T T"
Sn 0.000 0.000 3.527
Sn 0.000 0.000 24.078
Sn 0.000 3.264 1.143
Sn 0.000 3.264 21.763
Sn 2.827 1.632 5.843
Sn 2.827 1.632 26.463
Pd -1.411 2.449 3.500
Pd 0.000 1.628 26.428
Pd -1.417 4.082 26.428
Pd 0.000 1.635 5.825
Pd -1.411 4.078 5.825
Pd 1.410 0.814 1.178
Pd 1.416 0.817 21.780
Pd 2.827 0.003 24.106
Pd 1.411 2.449 3.500
Pd 1.416 2.446 24.106
Pd 0.000 4.893 3.500
Pd 1.411 4.078 5.825
Pd 1.417 4.082 26.428
Pd 4.238 0.817 21.780
Pd 2.827 3.261 21.780
Pd 4.244 0.814 1.178
Pd 2.827 3.268 1.178
Pd 4.237 2.446 24.106
```



Structure and calculated powder X-ray diffraction pattern of Sn2Pd3 (a DFT-relaxed cell (PBE, OQMD); λ = 1.5418 Å (Cu Kα)).
Lines closer than 0.1° are merged.

Principal peaks in the range 15 to 90 degrees two-theta, sorted by position:
34.47°, rel. 44; 36.87°, rel. 97; 40.01°, rel. 100; 43.78°, rel. 46; 46.54°, rel. 48; 46.93°, rel. 51; 67.93°, rel. 30; 81.86°, rel. 36

Structure:
```
5
Lattice="3.902 0.000 0.000 0.000 3.902 0.000 0.000 0.000 15.617" Properties=species:S:1:pos:R:3 pbc="T T T"
Sn 0.000 0.000 0.000
Sn 0.000 0.000 4.093
Pd 0.000 1.951 2.236
Pd 1.951 0.000 2.236
Pd 1.951 1.951 0.210
```



Structure and calculated powder X-ray diffraction pattern of Sn3Pd10 (a DFT-relaxed cell (PBE, OQMD); λ = 1.5418 Å (Cu Kα)).
Lines closer than 0.1° are merged.

Principal peaks in the range 15 to 90 degrees two-theta, sorted by position:
37.13°, rel. 57; 39.32°, rel. 100; 41.78°, rel. 16; 45.43°, rel. 34; 45.61°, rel. 21; 63.76°, rel. 15; 66.87°, rel. 18; 79.80°, rel. 25

Structure:
```
13
Lattice="3.993 0.000 0.000 0.000 3.993 0.000 0.000 0.000 23.536" Properties=species:S:1:pos:R:3 pbc="T T T"
Sn 0.000 0.000 0.000
Sn 0.000 0.000 4.082
Sn 0.000 0.000 8.180
Pd 0.000 1.996 2.129
Pd 0.000 1.996 6.220
Pd 0.000 1.996 21.616
Pd 1.996 0.000 2.129
Pd 1.996 0.000 6.220
Pd 1.996 0.000 21.616
Pd 1.996 1.996 0.112
Pd 1.996 1.996 4.215
Pd 1.996 1.996 8.254
Pd 1.996 1.996 19.829
```



Structure and calculated powder X-ray diffraction pattern of Sn3Pd8 (a DFT-relaxed cell (PBE, OQMD); λ = 1.5418 Å (Cu Kα)).
Lines closer than 0.1° are merged.

Principal peaks in the range 15 to 90 degrees two-theta, sorted by position:
37.33°, rel. 23; 38.94°, rel. 100; 40.70°, rel. 8; 45.29°, rel. 58; 63.69°, rel. 7; 65.96°, rel. 34; 79.33°, rel. 37; 83.62°, rel. 11

Structure:
```
22
Lattice="4.007 0.000 0.000 0.000 4.007 0.000 0.000 0.000 32.031" Properties=species:S:1:pos:R:3 pbc="T T T"
Sn 0.000 0.000 2.012
Sn 0.000 0.000 6.031
Sn 0.000 0.000 10.094
Sn 0.000 0.000 21.938
Sn 0.000 0.000 26.000
Sn 0.000 0.000 30.019
Pd 0.000 2.003 0.000
Pd 0.000 2.003 4.049
Pd 0.000 2.003 8.106
Pd 0.000 2.003 23.925
Pd 0.000 2.003 27.982
Pd 2.003 0.000 0.000
Pd 2.003 0.000 4.049
Pd 2.003 0.000 8.106
Pd 2.003 0.000 23.925
Pd 2.003 0.000 27.982
Pd 2.003 2.003 2.026
Pd 2.003 2.003 6.090
Pd 2.003 2.003 10.120
Pd 2.003 2.003 21.911
Pd 2.003 2.003 25.941
Pd 2.003 2.003 30.005
```



Structure and calculated powder X-ray diffraction pattern of Sn2Pd (a DFT-relaxed cell (PBE, OQMD); λ = 1.5418 Å (Cu Kα)).
Lines closer than 0.1° are merged.

Principal peaks in the range 15 to 90 degrees two-theta, sorted by position:
29.00°, rel. 46; 30.66°, rel. 23; 30.86°, rel. 18; 32.38°, rel. 21; 38.79°, rel. 45; 40.12°, rel. 100; 41.45°, rel. 20; 44.24°, rel. 42

Structure:
```
24
Lattice="-3.283 3.283 12.333 3.283 -3.283 12.333 3.283 3.283 -12.333" Properties=species:S:1:pos:R:3 pbc="T T T"
Sn 4.924 0.008 0.000
Sn 4.321 -0.604 3.083
Sn 1.038 0.604 3.083
Sn 1.649 3.283 -6.166
Sn 1.649 0.000 6.166
Sn 1.038 -0.604 9.249
Sn 1.038 3.887 -3.083
Sn 1.641 3.275 0.000
Sn 1.641 0.008 12.333
Sn 2.245 -0.604 15.416
Sn 2.245 3.887 3.083
Sn 1.634 3.283 6.166
Sn 1.634 0.000 18.499
Sn 2.245 2.679 9.249
Sn -1.038 3.887 9.249
Sn -1.641 3.275 12.333
Pd 3.283 -1.641 7.809
Pd 3.283 -1.641 10.690
Pd 3.283 1.641 1.642
Pd 3.283 1.641 4.524
Pd 0.000 1.641 7.809
Pd 0.000 1.641 10.690
Pd 0.000 4.924 1.642
Pd 0.000 4.924 4.524
```



Structure and calculated powder X-ray diffraction pattern of SrZnSn2Pd (a DFT-relaxed cell (PBE, OQMD); λ = 1.5418 Å (Cu Kα)).
Lines closer than 0.1° are merged.

Principal peaks in the range 15 to 90 degrees two-theta, sorted by position:
30.37°, rel. 57; 31.63°, rel. 100; 39.20°, rel. 77; 41.97°, rel. 52; 44.05°, rel. 35; 50.38°, rel. 27; 56.64°, rel. 27; 60.41°, rel. 28

Structure:
```
10
Lattice="4.597 0.000 0.000 0.000 4.597 0.000 0.000 0.000 11.492" Properties=species:S:1:pos:R:3 pbc="T T T"
Sr 1.149 1.149 2.863
Sr 3.447 3.447 8.629
Zn 1.149 3.447 5.746
Zn 3.447 1.149 5.746
Sn 1.149 1.149 7.337
Sn 1.149 3.447 0.000
Sn 3.447 1.149 0.000
Sn 3.447 3.447 4.155
Pd 1.149 1.149 10.004
Pd 3.447 3.447 1.489
```



Structure and calculated powder X-ray diffraction pattern of Ta4Sn5Pd5 (a DFT-relaxed cell (PBE, OQMD); λ = 1.5418 Å (Cu Kα)).
Lines closer than 0.1° are merged.

Principal peaks in the range 15 to 90 degrees two-theta, sorted by position:
24.79°, rel. 26; 28.71°, rel. 24; 41.04°, rel. 100; 48.54°, rel. 12; 59.44°, rel. 16; 67.32°, rel. 9; 74.78°, rel. 31; 89.04°, rel. 10

Structure:
```
14
Lattice="-4.917 4.917 3.111 4.917 -4.917 3.111 4.917 4.917 -3.111" Properties=species:S:1:pos:R:3 pbc="T T T"
Ta 6.886 0.983 -0.015
Ta 0.983 2.947 0.015
Ta 3.933 1.969 3.125
Ta -1.969 3.933 3.096
Sn 0.000 0.000 0.000
Sn 4.038 2.122 0.051
Sn 2.795 -0.879 3.060
Sn 2.122 5.796 -0.051
Sn 0.879 2.795 3.161
Pd 5.962 2.821 -1.688
Pd 4.917 0.000 1.555
Pd -1.045 2.095 1.422
Pd 2.821 3.872 1.688
Pd 2.095 1.045 4.799
```



Structure and calculated powder X-ray diffraction pattern of YTaSn2Pd2 (a DFT-relaxed cell (PBE, OQMD); λ = 1.5418 Å (Cu Kα)).
Lines closer than 0.1° are merged.

Principal peaks in the range 15 to 90 degrees two-theta, sorted by position:
24.10°, rel. 28; 27.74°, rel. 9; 27.98°, rel. 18; 39.83°, rel. 100; 40.07°, rel. 20; 57.83°, rel. 13; 72.40°, rel. 12; 72.62°, rel. 14

Structure:
```
12
Lattice="4.501 0.000 0.000 0.000 9.037 0.000 0.000 0.000 6.432" Properties=species:S:1:pos:R:3 pbc="T T T"
Y 0.000 1.103 0.000
Y 2.250 7.934 3.216
Ta 0.000 5.643 6.415
Ta 2.250 3.393 3.199
Sn 0.000 1.195 3.259
Sn 0.000 5.616 3.122
Sn 2.250 3.421 6.337
Sn 2.250 7.841 0.043
Pd 0.000 3.522 4.744
Pd 0.000 7.734 4.900
Pd 2.250 1.303 1.684
Pd 2.250 5.514 1.529
```



Structure and calculated powder X-ray diffraction pattern of TmSn3Pd4 (a DFT-relaxed cell (PBE, OQMD); λ = 1.5418 Å (Cu Kα)).
Lines closer than 0.1° are merged.

Principal peaks in the range 15 to 90 degrees two-theta, sorted by position:
29.67°, rel. 49; 33.44°, rel. 53; 35.64°, rel. 100; 38.57°, rel. 83; 39.26°, rel. 73; 39.58°, rel. 83; 40.25°, rel. 73; 41.84°, rel. 90

Structure:
```
8
Lattice="5.864 0.000 0.000 0.000 4.318 0.000 -0.178 0.000 6.202" Properties=species:S:1:pos:R:3 pbc="T T T"
Tm 0.000 0.000 0.000
Sn 1.438 2.159 2.142
Sn 2.884 2.159 5.313
Sn 4.425 0.000 3.114
Pd 1.744 0.000 4.011
Pd 2.698 0.000 0.961
Pd 4.633 2.159 1.365
Pd 5.583 2.159 4.313
```



Structure and calculated powder X-ray diffraction pattern of Tm3SnPd4 (a DFT-relaxed cell (PBE, OQMD); λ = 1.5418 Å (Cu Kα)).
Lines closer than 0.1° are merged.

Principal peaks in the range 15 to 90 degrees two-theta, sorted by position:
29.07°, rel. 49; 33.77°, rel. 93; 34.88°, rel. 73; 37.52°, rel. 100; 40.58°, rel. 96; 40.83°, rel. 62; 44.02°, rel. 28; 54.76°, rel. 40

Structure:
```
8
Lattice="5.580 0.000 0.000 0.000 4.420 0.000 -0.002 0.000 6.639" Properties=species:S:1:pos:R:3 pbc="T T T"
Tm 0.000 0.000 0.000
Tm 1.253 0.000 3.309
Tm 3.987 2.210 4.248
Sn 2.765 2.210 1.000
Pd 0.099 2.210 1.858
Pd 1.138 2.210 5.203
Pd 2.855 0.000 5.849
Pd 3.918 0.000 2.336
```



Structure and calculated powder X-ray diffraction pattern of Tm2Sn6Pd (a DFT-relaxed cell (PBE, OQMD); λ = 1.5418 Å (Cu Kα)).
Lines closer than 0.1° are merged.

Principal peaks in the range 15 to 90 degrees two-theta, sorted by position:
30.92°, rel. 34; 31.40°, rel. 20; 34.78°, rel. 100; 40.53°, rel. 24; 41.08°, rel. 31; 59.08°, rel. 22; 60.54°, rel. 14; 70.03°, rel. 14

Structure:
```
9
Lattice="2.198 -11.396 0.000 2.198 11.396 0.000 0.000 0.000 4.452" Properties=species:S:1:pos:R:3 pbc="T T T"
Tm 2.198 7.291 0.000
Tm 2.198 -7.291 0.000
Sn 2.198 9.666 2.226
Sn 2.198 4.673 2.226
Sn 2.198 1.699 0.000
Sn 2.198 -1.699 0.000
Sn 2.198 -4.673 2.226
Sn 2.198 -9.666 2.226
Pd 2.198 0.000 2.226
```